Record 1
Diffraction record for Sb3Cl9OF4. The powder X-ray diffraction pattern is theoretical, not measured: it uses a cell relaxed with PBE and a wavelength of 1.5418 Å.
Intensities are scaled so that the largest is 1000.

```
Sb3Cl9OF4
1.0
7.2181 0.0000 0.0000
-2.7011 9.7959 0.0000
-0.7369 -0.4593 13.7345
Sb Cl O F
6 18 2 8
Direct
0.0997 0.1413 0.3078 Sb
0.3008 0.5572 0.2864 Sb
0.3120 0.2330 0.1063 Sb
0.6880 0.7670 0.8937 Sb
0.6992 0.4428 0.7136 Sb
0.9003 0.8587 0.6922 Sb
0.0034 0.9086 0.2696 Cl
0.1778 0.3224 0.9744 Cl
0.2044 0.6472 0.4259 Cl
0.2040 0.8417 0.6560 Cl
0.2406 0.1362 0.4630 Cl
0.2579 0.0141 0.0384 Cl
0.3617 0.6902 0.9159 Cl
0.4079 0.4676 0.6456 Cl
0.4340 0.7555 0.2051 Cl
0.5660 0.2445 0.7949 Cl
0.5921 0.5324 0.3544 Cl
0.6383 0.3098 0.0841 Cl
0.7421 0.9859 0.9616 Cl
0.7594 0.8638 0.5370 Cl
0.7960 0.1583 0.3440 Cl
0.7956 0.3528 0.5741 Cl
0.8222 0.6776 0.0256 Cl
0.9966 0.0914 0.7304 Cl
0.3448 0.1845 0.2430 O
0.6552 0.8155 0.7570 O
0.0286 0.1932 0.1620 F
0.0542 0.5342 0.2203 F
0.1733 0.3616 0.3337 F
0.3419 0.4379 0.1689 F
0.6581 0.5621 0.8311 F
0.8267 0.6384 0.6663 F
0.9458 0.4658 0.7797 F
0.9714 0.8068 0.8380 F
```

Principal peaks in the range 10 to 80 degrees two-theta, in order of rising 2θ:
(hkl)  2θ/deg  d [Å]  I_rel
0 1 -1  10.92  8.101  357
1 -1 0  13.52  6.551  658
1 0 -1  13.94  6.355  362
1 0 1  14.64  6.053  1000
1 -1 2  19.05  4.660  353
0 2 1  19.44  4.566  615

Record 2
Diffraction record for SbPCl4F6. The powder X-ray diffraction pattern is theoretical, not measured: it uses a cell relaxed with PBE and a wavelength of 1.5418 Å.
Intensities are scaled so that the largest is 1000.

```
SbPCl4F6
1.0
8.7161 0.0000 0.0000
0.0000 8.7161 0.0000
0.0000 0.0000 6.9434
Sb P Cl F
2 2 8 12
Direct
0.2500 0.2500 0.1467 Sb
0.7500 0.7500 0.8533 Sb
0.2500 0.7500 0.5000 P
0.7500 0.2500 0.5000 P
0.0730 0.7969 0.3376 Cl
0.2031 0.5730 0.6624 Cl
0.2969 0.9270 0.6624 Cl
0.4270 0.7031 0.3376 Cl
0.5730 0.2969 0.6624 Cl
0.7031 0.0730 0.3376 Cl
0.7969 0.4270 0.3376 Cl
0.9270 0.2031 0.6624 Cl
0.0408 0.1802 0.1465 F
0.1802 0.4592 0.1465 F
0.2500 0.2500 0.4232 F
0.2500 0.2500 0.8688 F
0.3198 0.0408 0.1465 F
0.4592 0.3198 0.1465 F
0.5408 0.6802 0.8535 F
0.6802 0.9592 0.8535 F
0.7500 0.7500 0.1312 F
0.7500 0.7500 0.5768 F
0.8198 0.5408 0.8535 F
0.9592 0.8198 0.8535 F
```

Principal peaks in the range 10 to 80 degrees two-theta, in order of rising 2θ:
(hkl)  2θ/deg  d [Å]  I_rel
1 0 1  16.32  5.431  609
1 1 1  19.26  4.609  1000
2 0 0  20.38  4.358  827
1 2 1  26.22  3.399  768
1 0 2  27.66  3.225  474
3 1 0  32.48  2.756  429

Record 3
Diffraction record for Pb2Cl2F. The powder X-ray diffraction pattern is theoretical, not measured: it uses a cell relaxed with PBE and a wavelength of 1.5418 Å.
Intensities are scaled so that the largest is 1000.

```
Pb2Cl2F
1.0
3.5432 0.0000 0.0000
0.0000 3.5432 0.0000
0.0000 0.0000 13.9220
Pb Cl F
2 2 1
Direct
0.0000 0.0000 0.1716 Pb
0.0000 0.0000 0.8284 Pb
0.0000 0.0000 0.3532 Cl
0.0000 0.0000 0.6468 Cl
0.0000 0.0000 0.0000 F
```

Principal peaks in the range 10 to 80 degrees two-theta, in order of rising 2θ:
(hkl)  2θ/deg  d [Å]  I_rel
0 0 2  12.72  6.961  463
0 0 3  19.12  4.641  358
1 0 0  25.13  3.543  1000
1 0 3  31.77  2.816  445
1 1 0  35.84  2.505  397
1 0 6  46.80  1.941  335

Record 4
Diffraction record for Pb7Cl2F12. The powder X-ray diffraction pattern is theoretical, not measured: it uses a cell relaxed with PBE and a wavelength of 1.5418 Å.
Intensities are scaled so that the largest is 1000.

```
Pb7Cl2F12
1.0
10.4416 0.0000 0.0000
-5.2208 9.0427 0.0000
0.0000 0.0000 4.0350
Pb Cl F
7 2 12
Direct
0.0000 0.0000 0.0000 Pb
0.1052 0.4256 0.0000 Pb
0.3204 0.8948 0.0000 Pb
0.3941 0.2784 0.5000 Pb
0.5744 0.6796 0.0000 Pb
0.7216 0.1158 0.5000 Pb
0.8842 0.6059 0.5000 Pb
0.3333 0.6667 0.5000 Cl
0.6667 0.3333 0.0000 Cl
0.0495 0.6287 0.0000 F
0.0690 0.8652 0.5000 F
0.1348 0.2038 0.5000 F
0.2772 0.1018 0.0000 F
0.3713 0.4208 0.0000 F
0.4336 0.0326 0.5000 F
0.5792 0.9505 0.0000 F
0.5990 0.5664 0.5000 F
0.7962 0.9310 0.5000 F
0.8246 0.7228 0.0000 F
0.8982 0.1754 0.0000 F
0.9674 0.4010 0.5000 F
```

Principal peaks in the range 10 to 80 degrees two-theta, in order of rising 2θ:
(hkl)  2θ/deg  d [Å]  I_rel
1 2 0  26.07  3.418  1000
1 1 1  27.95  3.193  543
2 0 1  29.67  3.011  501
4 1 0  46.00  1.973  419
2 3 1  49.40  1.845  317
1 2 2  52.68  1.738  335

Record 5
Diffraction record for RbSbClF3. The powder X-ray diffraction pattern is theoretical, not measured: it uses a cell relaxed with PBE and a wavelength of 1.5418 Å.
Intensities are scaled so that the largest is 1000.

```
RbSbClF3
1.0
8.2384 0.0000 0.0000
0.0000 8.5307 0.0000
0.0000 0.0000 15.4155
Rb Sb Cl F
8 8 8 24
Direct
0.1815 0.1925 0.0578 Rb
0.1815 0.3075 0.5578 Rb
0.3185 0.6925 0.0578 Rb
0.3185 0.8075 0.5578 Rb
0.6815 0.1925 0.4422 Rb
0.6815 0.3075 0.9422 Rb
0.8185 0.6925 0.4422 Rb
0.8185 0.8075 0.9422 Rb
0.1290 0.0036 0.3243 Sb
0.1290 0.4964 0.8243 Sb
0.3710 0.5036 0.3243 Sb
0.3710 0.9964 0.8243 Sb
0.6290 0.0036 0.1757 Sb
0.6290 0.4964 0.6757 Sb
0.8710 0.5036 0.1757 Sb
0.8710 0.9964 0.6757 Sb
0.0183 0.1219 0.8503 Cl
0.0183 0.3781 0.3503 Cl
0.4817 0.6219 0.8503 Cl
0.4817 0.8781 0.3503 Cl
0.5183 0.1219 0.6497 Cl
0.5183 0.3781 0.1497 Cl
0.9817 0.6219 0.6497 Cl
0.9817 0.8781 0.1497 Cl
0.1088 0.5030 0.1544 F
0.1088 0.9970 0.6544 F
0.1130 0.7211 0.8536 F
0.1130 0.7789 0.3536 F
0.1579 0.0425 0.4500 F
0.1579 0.4575 0.9500 F
0.3421 0.5425 0.4500 F
0.3421 0.9575 0.9500 F
0.3870 0.2211 0.8536 F
0.3870 0.2789 0.3536 F
0.3912 0.0030 0.1544 F
0.3912 0.4970 0.6544 F
0.6088 0.5030 0.3456 F
0.6088 0.9970 0.8456 F
0.6130 0.7211 0.6464 F
0.6130 0.7789 0.1464 F
0.6579 0.0425 0.0500 F
0.6579 0.4575 0.5500 F
0.8421 0.5425 0.0500 F
0.8421 0.9575 0.5500 F
0.8870 0.2211 0.6464 F
0.8870 0.2789 0.1464 F
0.8912 0.0030 0.3456 F
0.8912 0.4970 0.8456 F
```

Principal peaks in the range 10 to 80 degrees two-theta, in order of rising 2θ:
(hkl)  2θ/deg  d [Å]  I_rel
1 1 3  22.91  3.882  624
0 2 2  23.84  3.732  611
2 1 1  24.69  3.606  1000
1 0 4  25.52  3.491  932
1 2 2  26.21  3.399  722
3 1 3  38.64  2.330  459